Na2HfReO6: computed powder diffractogram (λ = 1.5418 Å (Cu Kα)), based on a structure optimized by DFT (GGA-PBE).

Cell and atoms:
abc: 5.475 5.521 9.535
angles: 90.00 125.02 90.00
Fractional positions:
Na: 0.247 0.023 0.250
Na: 0.247 0.477 0.750
Na: 0.753 0.523 0.250
Na: 0.753 0.977 0.750
Hf: 0.000 0.000 0.500
Hf: 0.000 0.500 0.000
Re: 0.500 0.000 0.000
Re: 0.500 0.500 0.500
O: 0.187 0.202 0.968
O: 0.187 0.298 0.468
O: 0.267 0.719 0.967
O: 0.267 0.781 0.467
O: 0.323 0.013 0.759
O: 0.323 0.487 0.259
O: 0.677 0.513 0.741
O: 0.677 0.987 0.241
O: 0.733 0.219 0.533
O: 0.733 0.281 0.033
O: 0.813 0.702 0.532
O: 0.813 0.798 0.032

Top 12 peaks for 2θ from 15° to 90°, by angle:
22.8 deg, intensity 40; 22.9 deg, intensity 79; 32.5 deg, intensity 100; 32.7 deg, intensity 19; 46.5 deg, intensity 12; 46.7 deg, intensity 23; 52.5 deg, intensity 26; 52.6 deg, intensity 17; 57.9 deg, intensity 25; 58.3 deg, intensity 18; 68.1 deg, intensity 14; 72.7 deg, intensity 11

---

Na2HfSe2O: computed powder diffractogram (λ = 1.5418 Å (Cu Kα)), based on a structure optimized by DFT (GGA-PBE).

Cell and atoms:
abc: 6.537 6.537 6.958
angles: 97.85 97.85 116.76
Fractional positions:
Na: 0.000 0.000 0.000
Na: 0.161 0.839 0.500
Na: 0.500 0.500 0.500
Na: 0.839 0.161 0.500
Hf: 0.362 0.638 0.000
Hf: 0.638 0.362 0.000
Se: 0.068 0.429 0.230
Se: 0.429 0.068 0.230
Se: 0.571 0.932 0.770
Se: 0.932 0.571 0.770
O: 0.354 0.354 0.837
O: 0.646 0.646 0.163

Top 12 peaks for 2θ from 15° to 90°, by angle:
15.6 deg, intensity 49; 15.9 deg, intensity 19; 22.6 deg, intensity 45; 26.8 deg, intensity 12; 27.6 deg, intensity 22; 32.2 deg, intensity 100; 32.7 deg, intensity 53; 34.9 deg, intensity 12; 42.4 deg, intensity 13; 43.1 deg, intensity 21; 46.3 deg, intensity 31; 46.8 deg, intensity 38

---

Which formula does entry 1 have?
Na2HfReO6

---

Please write out number 1 again, unchanged.
Na2HfReO6: computed powder diffractogram (λ = 1.5418 Å (Cu Kα)), based on a structure optimized by DFT (GGA-PBE).

Cell and atoms:
abc: 5.475 5.521 9.535
angles: 90.00 125.02 90.00
Fractional positions:
Na: 0.247 0.023 0.250
Na: 0.247 0.477 0.750
Na: 0.753 0.523 0.250
Na: 0.753 0.977 0.750
Hf: 0.000 0.000 0.500
Hf: 0.000 0.500 0.000
Re: 0.500 0.000 0.000
Re: 0.500 0.500 0.500
O: 0.187 0.202 0.968
O: 0.187 0.298 0.468
O: 0.267 0.719 0.967
O: 0.267 0.781 0.467
O: 0.323 0.013 0.759
O: 0.323 0.487 0.259
O: 0.677 0.513 0.741
O: 0.677 0.987 0.241
O: 0.733 0.219 0.533
O: 0.733 0.281 0.033
O: 0.813 0.702 0.532
O: 0.813 0.798 0.032

Top 12 peaks for 2θ from 15° to 90°, by angle:
22.8 deg, intensity 40; 22.9 deg, intensity 79; 32.5 deg, intensity 100; 32.7 deg, intensity 19; 46.5 deg, intensity 12; 46.7 deg, intensity 23; 52.5 deg, intensity 26; 52.6 deg, intensity 17; 57.9 deg, intensity 25; 58.3 deg, intensity 18; 68.1 deg, intensity 14; 72.7 deg, intensity 11